(1)
Structure and simulated powder XRD pattern of Mn5B2Mo2W (the GGA-PBE geometry in Alexandria; CuKα).
Peak positions follow from Bragg's law for the DFT cell and can differ from measured ones.

Structure:
Cell: 8.7367 8.7367 2.9378 Å, 90.00 90.00 90.00°
Space group P4/mbm (No. 127)
Asymmetric unit:
Mn1 0.0000 0.5000 0.0000
Mn2 0.0694 0.2183 0.0000
B1 0.1204 0.3796 0.5000
Mo1 0.1759 0.6759 0.5000
W1 0.0000 0.0000 0.5000

Most intense lines, 2θ from 15° to 90°, by intensity:
- 2θ = 45.05°, I = 100, (3 1 1)
- 2θ = 42.46°, I = 44, (2 2 1)
- 2θ = 38.33°, I = 42, (2 1 1)
- 2θ = 42.67°, I = 38, (4 1 0)
- 2θ = 46.48°, I = 36, (4 2 0)
- 2θ = 32.41°, I = 24, (3 1 0)
- 2θ = 70.56°, I = 17, (5 3 1)
- 2θ = 28.91°, I = 17, (2 2 0)

(2)
Structure and simulated powder XRD pattern of NaMnB14 (the GGA-PBE geometry in Alexandria; CuKα).
Peak positions follow from Bragg's law for the DFT cell and can differ from measured ones.

Structure:
Cell: 5.8388 10.4239 8.2731 Å, 90.00 90.00 90.00°
Space group Imma (No. 74)
Asymmetric unit:
Na1 0.0000 0.2500 0.1545
Mn1 0.2500 0.2500 0.7500
B1 0.0000 0.0897 0.6643
B2 0.0000 0.1450 0.8795
B3 0.0000 0.1661 0.4636
B4 0.1597 0.0578 0.3359
B5 0.2483 0.0803 0.5429

Most intense lines, 2θ from 15° to 90°, by intensity:
- 2θ = 41.85°, I = 100, (2 3 1)
- 2θ = 33.66°, I = 77, (2 1 1)
- 2θ = 27.53°, I = 42, (0 2 2)
- 2θ = 41.64°, I = 35, (2 2 2)
- 2θ = 52.70°, I = 30, (0 6 0)
- 2θ = 40.93°, I = 27, (0 4 2)
- 2θ = 17.01°, I = 26, (0 2 0)
- 2θ = 40.09°, I = 23, (1 2 3)